Computed powder X-ray diffraction pattern
Compound: Ag4TeSO4
Radiation: Cu Kα, 1.54184 Å
Structure: a cell relaxed with GGA-PBE
Intensities are scaled so that the largest is 100.

Structure:
```
40
Lattice="8.9094 0.0000 0.0000 0.0000 8.9094 0.0000 0.0000 0.0000 8.9094" Properties=species:S:1:pos:R:3 pbc="T T T"
Ag 0.0801 4.3746 4.5348
Ag 0.2089 0.9093 2.5816
Ag 0.9093 2.5816 0.2089
Ag 1.8731 8.7005 5.3640
Ag 2.5816 0.2089 0.9093
Ag 3.5454 6.3278 4.6636
Ag 4.2458 8.0001 7.0363
Ag 4.3746 4.5348 0.0801
Ag 4.5348 0.0801 4.3746
Ag 4.6636 3.5454 6.3278
Ag 5.3640 1.8731 8.7005
Ag 6.3278 4.6636 3.5454
Ag 7.0363 4.2458 8.0001
Ag 8.0001 7.0363 4.2458
Ag 8.7005 5.3640 1.8731
Ag 8.8293 8.8293 8.8293
Te 1.5341 7.3752 2.9206
Te 2.9206 1.5341 7.3752
Te 5.9888 5.9888 5.9888
Te 7.3752 2.9206 1.5341
S 1.1315 5.5862 7.7778
S 3.3231 3.3231 3.3231
S 5.5862 7.7778 1.1315
S 7.7778 1.1315 5.5862
O 0.2114 6.4235 8.6313
O 0.2780 4.6660 6.9406
O 1.9688 4.7327 8.6980
O 1.9822 6.4369 6.9271
O 2.4725 2.4725 2.4725
O 2.4859 4.1767 4.2433
O 4.1767 4.2433 2.4859
O 4.2433 2.4859 4.1767
O 4.6660 6.9406 0.2780
O 4.7327 8.6980 1.9688
O 6.4235 8.6313 0.2114
O 6.4369 6.9271 1.9822
O 6.9271 1.9822 6.4369
O 6.9406 0.2780 4.6660
O 8.6313 0.2114 6.4235
O 8.6980 1.9688 4.7327
```

The 12 most intense peaks (10 to 90 degrees two-theta), in order of rising 2θ:
- 2θ = 14.06°, intensity 100, hkl 1 1 0
- 2θ = 24.47°, intensity 26, hkl 2 1 1
- 2θ = 30.09°, intensity 96, hkl 2 2 1
- 2θ = 33.36°, intensity 96, hkl 3 1 1
- 2θ = 36.36°, intensity 43, hkl 3 2 0
- 2θ = 37.78°, intensity 66, hkl 3 1 2
- 2θ = 41.80°, intensity 75, hkl 4 1 0
- 2θ = 43.08°, intensity 21, hkl 4 1 1
- 2θ = 45.53°, intensity 41, hkl 4 2 0
- 2θ = 46.72°, intensity 24, hkl 4 2 1
- 2θ = 50.16°, intensity 24, hkl 4 2 2
- 2θ = 61.58°, intensity 21, hkl 5 1 3